For Sc6SnPb2C, a GGA-PBE-relaxed structure gives the theoretical powder X-ray diffraction pattern in this record (λ = 1.5418 Å (Cu Kα)).
Lines closer than 0.1° are merged.

Crystal structure
a b c (Å): 5.023 5.023 9.740
angles (deg): 90.00 90.00 90.00
Positions (direct):
Sc 0.000 0.000 0.219
Sc 0.000 0.000 0.781
Sc 0.000 0.500 0.000
Sc 0.000 0.500 0.500
Sc 0.500 0.000 0.000
Sc 0.500 0.000 0.500
Sn 0.000 0.000 0.500
Pb 0.500 0.500 0.243
Pb 0.500 0.500 0.757
C 0.000 0.000 0.000

Main lines, most intense first (2θ = 10–90°):
d 3.496, I 100; d 2.870, I 85; d 2.511, I 67; d 3.552, I 51; d 2.040, I 48; d 1.748, I 41



For Tb3ScPb2C, a GGA-PBE-relaxed structure gives the theoretical powder X-ray diffraction pattern in this record (λ = 1.5418 Å (Cu Kα)).
Lines closer than 0.1° are merged.

Crystal structure
a b c (Å): 4.599 4.832 16.145
angles (deg): 90.00 90.00 90.00
Positions (direct):
Tb 0.000 0.000 0.000
Tb 0.000 0.500 0.157
Tb 0.000 0.500 0.843
Tb 0.500 0.000 0.343
Tb 0.500 0.000 0.657
Tb 0.500 0.500 0.500
Sc 0.000 0.000 0.500
Sc 0.500 0.500 0.000
Pb 0.000 0.500 0.359
Pb 0.000 0.500 0.641
Pb 0.500 0.000 0.141
Pb 0.500 0.000 0.859
C 0.000 0.500 0.000
C 0.500 0.000 0.500

Main lines, most intense first (2θ = 10–90°):
d 2.569, I 100; d 3.331, I 45; d 3.079, I 41; d 2.416, I 30; d 2.300, I 26; d 2.691, I 26



For Sc6TlPb2C, a GGA-PBE-relaxed structure gives the theoretical powder X-ray diffraction pattern in this record (λ = 1.5418 Å (Cu Kα)).
Lines closer than 0.1° are merged.

Crystal structure
a b c (Å): 5.036 5.036 9.759
angles (deg): 90.00 90.00 90.00
Positions (direct):
Sc 0.000 0.000 0.219
Sc 0.000 0.000 0.781
Sc 0.000 0.500 0.000
Sc 0.000 0.500 0.500
Sc 0.500 0.000 0.000
Sc 0.500 0.000 0.500
Tl 0.000 0.000 0.500
Pb 0.500 0.500 0.242
Pb 0.500 0.500 0.758
C 0.000 0.000 0.000

Main lines, most intense first (2θ = 10–90°):
d 3.504, I 100; d 2.518, I 59; d 3.561, I 51; d 2.045, I 48; d 2.876, I 46; d 1.752, I 37



For Tm3ScPb2C, a GGA-PBE-relaxed structure gives the theoretical powder X-ray diffraction pattern in this record (λ = 1.5418 Å (Cu Kα)).
Lines closer than 0.1° are merged.

Crystal structure
a b c (Å): 4.571 4.733 15.824
angles (deg): 90.00 90.00 90.00
Positions (direct):
Tm 0.000 0.000 0.000
Tm 0.000 0.500 0.156
Tm 0.000 0.500 0.844
Tm 0.500 0.000 0.344
Tm 0.500 0.000 0.656
Tm 0.500 0.500 0.500
Sc 0.000 0.000 0.500
Sc 0.500 0.500 0.000
Pb 0.000 0.500 0.358
Pb 0.000 0.500 0.642
Pb 0.500 0.000 0.142
Pb 0.500 0.000 0.858
C 0.000 0.500 0.000
C 0.500 0.000 0.500

Main lines, most intense first (2θ = 10–90°):
d 2.528, I 100; d 3.288, I 44; d 3.036, I 42; d 1.395, I 30; d 2.366, I 29; d 2.285, I 26



For PbC2Se, a GGA-PBE-relaxed structure gives the theoretical powder X-ray diffraction pattern in this record (λ = 1.5418 Å (Cu Kα)).
Lines closer than 0.1° are merged.

Crystal structure
a b c (Å): 5.007 5.007 11.265
angles (deg): 90.00 90.00 90.00
Positions (direct):
Pb 0.000 0.000 0.000
Pb 0.000 0.500 0.250
Pb 0.500 0.000 0.750
Pb 0.500 0.500 0.500
C 0.209 0.250 0.625
C 0.250 0.709 0.875
C 0.250 0.791 0.375
C 0.291 0.250 0.125
C 0.709 0.750 0.125
C 0.750 0.209 0.375
C 0.750 0.291 0.875
C 0.791 0.750 0.625
Se 0.000 0.000 0.500
Se 0.000 0.500 0.750
Se 0.500 0.000 0.250
Se 0.500 0.500 0.000

Main lines, most intense first (2θ = 10–90°):
d 2.998, I 100; d 1.871, I 26; d 1.524, I 26; d 2.504, I 24; d 4.575, I 21; d 2.816, I 16



For Sm4Pb2C, a GGA-PBE-relaxed structure gives the theoretical powder X-ray diffraction pattern in this record (λ = 1.5418 Å (Cu Kα)).
Lines closer than 0.1° are merged.

Crystal structure
a b c (Å): 4.959 4.959 16.494
angles (deg): 90.00 90.00 90.00
Positions (direct):
Sm 0.000 0.000 0.159
Sm 0.000 0.000 0.841
Sm 0.000 0.500 0.000
Sm 0.000 0.500 0.500
Sm 0.500 0.000 0.000
Sm 0.500 0.000 0.500
Sm 0.500 0.500 0.341
Sm 0.500 0.500 0.659
Pb 0.000 0.000 0.359
Pb 0.000 0.000 0.641
Pb 0.500 0.500 0.141
Pb 0.500 0.500 0.859
C 0.000 0.000 0.000
C 0.500 0.500 0.500

Main lines, most intense first (2θ = 10–90°):
d 2.671, I 100; d 2.480, I 57; d 3.227, I 55; d 1.841, I 35; d 1.466, I 33; d 2.748, I 32



For Sm7Pb3C2, a GGA-PBE-relaxed structure gives the theoretical powder X-ray diffraction pattern in this record (λ = 1.5418 Å (Cu Kα)).
Lines closer than 0.1° are merged.

Crystal structure
a b c (Å): 12.959 12.959 4.973
angles (deg): 90.00 90.00 157.39
Positions (direct):
Sm 0.000 0.000 0.000
Sm 0.097 0.903 0.500
Sm 0.199 0.801 0.000
Sm 0.399 0.601 0.000
Sm 0.601 0.399 0.000
Sm 0.801 0.199 0.000
Sm 0.903 0.097 0.500
Pb 0.310 0.690 0.500
Pb 0.500 0.500 0.500
Pb 0.690 0.310 0.500
C 0.101 0.899 0.000
C 0.899 0.101 0.000

Main lines, most intense first (2θ = 10–90°):
d 2.912, I 100; d 2.541, I 36; d 1.529, I 27; d 1.777, I 25; d 2.486, I 18; d 1.505, I 14



For Sm2YPbC, a GGA-PBE-relaxed structure gives the theoretical powder X-ray diffraction pattern in this record (λ = 1.5418 Å (Cu Kα)).
Lines closer than 0.1° are merged.

Crystal structure
a b c (Å): 5.061 5.061 4.929
angles (deg): 90.00 90.00 90.00
Positions (direct):
Sm 0.000 0.500 0.000
Sm 0.500 0.000 0.000
Y 0.000 0.000 0.500
Pb 0.500 0.500 0.500
C 0.000 0.000 0.000

Main lines, most intense first (2θ = 10–90°):
d 2.896, I 100; d 2.531, I 37; d 1.522, I 29; d 1.766, I 25; d 2.465, I 17; d 1.493, I 14



For TaPbC3, a GGA-PBE-relaxed structure gives the theoretical powder X-ray diffraction pattern in this record (λ = 1.5418 Å (Cu Kα)).
Lines closer than 0.1° are merged.

Crystal structure
a b c (Å): 4.280 4.280 4.280
angles (deg): 90.00 90.00 90.00
Positions (direct):
Ta 0.000 0.000 0.000
Pb 0.500 0.500 0.500
C 0.000 0.000 0.500
C 0.000 0.500 0.000
C 0.500 0.000 0.000

Main lines, most intense first (2θ = 10–90°):
d 3.026, I 100; d 1.747, I 42; d 2.140, I 24; d 1.144, I 23; d 1.353, I 19; d 1.513, I 16



For Tb6Pb2C, a GGA-PBE-relaxed structure gives the theoretical powder X-ray diffraction pattern in this record (λ = 1.5418 Å (Cu Kα)).
Lines closer than 0.1° are merged.

Crystal structure
a b c (Å): 8.340 8.340 8.340
angles (deg): 143.02 131.27 62.71
Positions (direct):
Tb 0.108 0.364 0.744
Tb 0.232 0.000 0.232
Tb 0.380 0.636 0.744
Tb 0.620 0.364 0.256
Tb 0.768 0.000 0.768
Tb 0.892 0.636 0.256
Pb 0.322 0.822 0.500
Pb 0.678 0.178 0.500
C 0.000 0.500 0.500

Main lines, most intense first (2θ = 10–90°):
d 2.465, I 100; d 2.645, I 37; d 2.508, I 27; d 1.490, I 21; d 4.194, I 21; d 3.908, I 19



For TbY3Pb2C, a GGA-PBE-relaxed structure gives the theoretical powder X-ray diffraction pattern in this record (λ = 1.5418 Å (Cu Kα)).
Lines closer than 0.1° are merged.

Crystal structure
a b c (Å): 4.835 4.856 16.128
angles (deg): 90.00 90.00 90.00
Positions (direct):
Tb 0.000 0.000 0.000
Tb 0.500 0.500 0.500
Y 0.000 0.000 0.500
Y 0.000 0.500 0.158
Y 0.000 0.500 0.842
Y 0.500 0.000 0.342
Y 0.500 0.000 0.658
Y 0.500 0.500 0.000
Pb 0.000 0.500 0.358
Pb 0.000 0.500 0.642
Pb 0.500 0.000 0.142
Pb 0.500 0.000 0.858
C 0.000 0.500 0.000
C 0.500 0.000 0.500

Main lines, most intense first (2θ = 10–90°):
d 2.611, I 100; d 3.153, I 49; d 2.687, I 29; d 2.428, I 28; d 2.417, I 27; d 3.426, I 24



For TcPb2C, a GGA-PBE-relaxed structure gives the theoretical powder X-ray diffraction pattern in this record (λ = 1.5418 Å (Cu Kα)).
Lines closer than 0.1° are merged.

Crystal structure
a b c (Å): 6.943 6.943 6.618
angles (deg): 90.00 90.00 90.00
Positions (direct):
Tc 0.000 0.000 0.000
Tc 0.000 0.500 0.250
Tc 0.500 0.000 0.750
Tc 0.500 0.500 0.500
Pb 0.194 0.750 0.625
Pb 0.250 0.194 0.375
Pb 0.250 0.306 0.875
Pb 0.306 0.750 0.125
Pb 0.694 0.250 0.125
Pb 0.750 0.694 0.875
Pb 0.750 0.806 0.375
Pb 0.806 0.250 0.625
C 0.000 0.000 0.500
C 0.000 0.500 0.750
C 0.500 0.000 0.250
C 0.500 0.500 0.000

Main lines, most intense first (2θ = 10–90°):
d 2.744, I 100; d 2.811, I 47; d 2.455, I 41; d 1.829, I 38; d 3.471, I 34; d 1.494, I 22



Repeat the eighth record exactly.
For Sm2YPbC, a GGA-PBE-relaxed structure gives the theoretical powder X-ray diffraction pattern in this record (λ = 1.5418 Å (Cu Kα)).
Lines closer than 0.1° are merged.

Crystal structure
a b c (Å): 5.061 5.061 4.929
angles (deg): 90.00 90.00 90.00
Positions (direct):
Sm 0.000 0.500 0.000
Sm 0.500 0.000 0.000
Y 0.000 0.000 0.500
Pb 0.500 0.500 0.500
C 0.000 0.000 0.000

Main lines, most intense first (2θ = 10–90°):
d 2.896, I 100; d 2.531, I 37; d 1.522, I 29; d 1.766, I 25; d 2.465, I 17; d 1.493, I 14